Diffraction record for Ba2LiHoRuO6. The powder diffraction line list is computed, not measured: it uses a DFT-relaxed cell (PBE, Alexandria) and Cu Kα X-rays.

Cell lengths 6.121, 6.121, 6.121 Å; angles 122.29, 121.69, 86.58 degrees
Element x y z (fractional)
Ba 0.208 0.208 0.000
Ba 0.792 0.792 0.000
Li 0.500 0.500 0.000
Ho 0.500 0.000 0.500
Ru 0.000 0.500 0.500
O 0.234 0.734 0.500
O 0.249 0.268 0.516
O 0.249 0.732 0.981
O 0.751 0.268 0.019
O 0.751 0.732 0.484
O 0.766 0.266 0.500

The 12 most intense peaks (2θ = 10–80°), by intensity:
d_spacing, I/Imax
3.055, 1000
2.098, 328
2.982, 284
2.954, 279
1.735, 195
1.724, 191
2.658, 143
1.527, 137
2.228, 121
1.976, 97
4.924, 93
1.335, 84

***

Diffraction record for Ba4Hg5Sb6. The powder diffraction line list is computed, not measured: it uses a DFT-relaxed cell (PBE, Alexandria) and Cu Kα X-rays.

Cell lengths 5.061, 18.075, 11.529 Å; angles 90.00, 102.66, 90.00 degrees
Element x y z (fractional)
Ba 0.030 0.000 0.060
Ba 0.043 0.262 0.086
Ba 0.164 0.796 0.327
Ba 0.175 0.462 0.352
Ba 0.825 0.962 0.648
Ba 0.836 0.296 0.673
Ba 0.957 0.762 0.914
Ba 0.970 0.500 0.940
Hg 0.164 0.129 0.328
Hg 0.317 0.117 0.630
Hg 0.340 0.797 0.680
Hg 0.353 0.461 0.707
Hg 0.467 0.153 0.931
Hg 0.533 0.653 0.069
Hg 0.647 0.961 0.293
Hg 0.660 0.297 0.320
Hg 0.683 0.617 0.370
Hg 0.836 0.629 0.672
Sb 0.091 0.626 0.185
Sb 0.212 0.983 0.422
Sb 0.224 0.269 0.449
Sb 0.406 0.629 0.813
Sb 0.436 0.915 0.871
Sb 0.450 0.343 0.900
Sb 0.550 0.843 0.100
Sb 0.564 0.415 0.129
Sb 0.594 0.129 0.187
Sb 0.776 0.769 0.551
Sb 0.788 0.483 0.578
Sb 0.909 0.126 0.815

The 12 most intense peaks (2θ = 10–80°), by intensity:
d_spacing, I/Imax
2.936, 1000
2.530, 578
3.012, 447
3.818, 346
2.474, 331
2.683, 283
3.333, 277
1.937, 259
1.528, 194
3.306, 189
2.602, 169
1.614, 166